This entry pairs a crystal structure of Y2CI2 with its theoretical X-ray powder pattern. Radiation: a wavelength of 1.5418 Å. Structure: a DFT-relaxed cell (GGA-PBE, the Materials Project).
Intensities are scaled so that the largest is 100.

abc: 3.8785 3.8785 11.1383
angles: 90.00 90.00 120.00
Space group P-3m1 (No. 164)
Asymmetric unit:
Y (0.3333, 0.6667, 0.1182) [2 per cell]
C (0.0000, 0.0000, 0.0000) [1 per cell]
I (0.3333, 0.6667, 0.6870) [2 per cell]

Top 10 peaks for 2θ from 10° to 90°, in order of falling intensity:
2θ = 31.09°, 2.876 Å, rel. 100
2θ = 26.54°, 3.359 Å, rel. 30
2θ = 46.85°, 1.939 Å, rel. 29
2θ = 36.06°, 2.491 Å, rel. 28
2θ = 42.15°, 2.144 Å, rel. 19
2θ = 64.84°, 1.438 Å, rel. 19
2θ = 15.91°, 5.569 Å, rel. 18
2θ = 57.30°, 1.608 Å, rel. 17
2θ = 63.61°, 1.463 Å, rel. 16
2θ = 77.05°, 1.238 Å, rel. 15

=====

This entry pairs a crystal structure of U2MnN3 with its theoretical X-ray powder pattern. Radiation: a wavelength of 1.5418 Å. Structure: a DFT-relaxed cell (GGA-PBE, the Materials Project).
Intensities are scaled so that the largest is 100.

abc: 3.312 3.751 12.112
angles: 90.00 90.00 90.00
Space group Immm (No. 71)
Asymmetric unit:
U (0.000, 0.000, 0.144) [4 per cell]
Mn (0.000, 0.000, 0.500) [2 per cell]
N (0.000, 0.000, 0.332) [4 per cell]
N (0.000, 0.500, 0.500) [2 per cell]

Top 10 peaks for 2θ from 10° to 90°, in order of falling intensity:
2θ = 36.18°, 2.483 Å, rel. 100
2θ = 32.58°, 2.748 Å, rel. 88
2θ = 35.05°, 2.560 Å, rel. 83
2θ = 47.35°, 1.920 Å, rel. 48
2θ = 24.85°, 3.583 Å, rel. 47
2θ = 61.26°, 1.513 Å, rel. 38
2θ = 29.50°, 3.028 Å, rel. 37
2θ = 27.93°, 3.194 Å, rel. 27
2θ = 65.85°, 1.418 Å, rel. 26
2θ = 58.97°, 1.566 Å, rel. 24

=====

This entry pairs a crystal structure of PrYMg2 with its theoretical X-ray powder pattern. Radiation: a wavelength of 1.5418 Å. Structure: a DFT-relaxed cell (GGA-PBE, the Materials Project).
Intensities are scaled so that the largest is 100.

abc: 3.845 3.845 7.749
angles: 90.00 90.00 90.00
Space group P4/mmm (No. 123)
Asymmetric unit:
Pr (0.000, 0.000, 0.000) [1 per cell]
Y (0.000, 0.000, 0.500) [1 per cell]
Mg (0.500, 0.500, 0.256) [2 per cell]

Top 10 peaks for 2θ from 10° to 90°, in order of falling intensity:
2θ = 32.81°, 2.729 Å, rel. 100
2θ = 32.94°, 2.719 Å, rel. 50
2θ = 23.13°, 3.845 Å, rel. 49
2θ = 58.75°, 1.572 Å, rel. 37
2θ = 22.95°, 3.875 Å, rel. 25
2θ = 40.53°, 2.226 Å, rel. 23
2θ = 53.23°, 1.721 Å, rel. 20
2θ = 58.50°, 1.578 Å, rel. 18
2θ = 47.28°, 1.923 Å, rel. 18
2θ = 78.66°, 1.216 Å, rel. 15

=====

This entry pairs a crystal structure of ThInCu5 with its theoretical X-ray powder pattern. Radiation: a wavelength of 1.5418 Å. Structure: a DFT-relaxed cell (GGA-PBE, the Materials Project).
Intensities are scaled so that the largest is 100.

abc: 8.342 5.089 10.642
angles: 90.00 90.00 90.00
Space group Pnma (No. 62)
Asymmetric unit:
Th (0.247, 0.250, 0.060) [4 per cell]
In (0.139, 0.750, 0.862) [4 per cell]
Cu (0.060, 0.750, 0.106) [4 per cell]
Cu (0.068, 0.001, 0.313) [8 per cell]
Cu (0.084, 0.250, 0.516) [4 per cell]
Cu (0.182, 0.250, 0.745) [4 per cell]

Top 10 peaks for 2θ from 10° to 90°, in order of falling intensity:
2θ = 37.83°, 2.378 Å, rel. 100
2θ = 37.69°, 2.387 Å, rel. 71
2θ = 64.97°, 1.435 Å, rel. 47
2θ = 35.41°, 2.535 Å, rel. 45
2θ = 30.72°, 2.910 Å, rel. 38
2θ = 35.27°, 2.544 Å, rel. 36
2θ = 45.17°, 2.007 Å, rel. 32
2θ = 44.12°, 2.053 Å, rel. 30
2θ = 32.59°, 2.748 Å, rel. 26
2θ = 41.58°, 2.172 Å, rel. 24

=====

This entry pairs a crystal structure of Ta2TcOs with its theoretical X-ray powder pattern. Radiation: a wavelength of 1.5418 Å. Structure: a DFT-relaxed cell (GGA-PBE, the Materials Project).
Intensities are scaled so that the largest is 100.

abc: 6.378 6.378 6.378
angles: 90.00 90.00 90.00
Space group Fm-3m (No. 225)
Asymmetric unit:
Ta (0.250, 0.250, 0.250) [8 per cell]
Tc (0.000, 0.000, 0.000) [4 per cell]
Os (0.000, 0.000, 0.500) [4 per cell]

Top 10 peaks for 2θ from 10° to 90°, in order of falling intensity:
2θ = 39.98°, 2.255 Å, rel. 100
2θ = 72.62°, 1.302 Å, rel. 35
2θ = 57.83°, 1.595 Å, rel. 17
2θ = 86.28°, 1.127 Å, rel. 11
2θ = 24.17°, 3.682 Å, rel. 4
2θ = 47.27°, 1.923 Å, rel. 2
2θ = 27.98°, 3.189 Å, rel. 1
2θ = 63.59°, 1.463 Å, rel. 1
2θ = 77.82°, 1.227 Å, rel. 1
2θ = 65.44°, 1.426 Å, rel. 1

=====

This entry pairs a crystal structure of CsK2BiCl6 with its theoretical X-ray powder pattern. Radiation: a wavelength of 1.5418 Å. Structure: a DFT-relaxed cell (GGA-PBE, the Materials Project).
Intensities are scaled so that the largest is 100.

abc: 26.067 7.907 13.259
angles: 90.00 99.03 90.00
Space group C2/c (No. 15)
Asymmetric unit:
Cs (0.051, 0.237, 0.430) [8 per cell]
K (0.157, 0.187, 0.131) [8 per cell]
K (0.162, 0.315, 0.799) [8 per cell]
Bi (0.000, 0.278, 0.750) [4 per cell]
Bi (0.250, 0.250, 0.500) [4 per cell]
Cl (0.058, 0.266, 0.938) [8 per cell]
Cl (0.064, 0.471, 0.201) [8 per cell]
Cl (0.065, 0.043, 0.685) [8 per cell]
Cl (0.173, 0.468, 0.527) [8 per cell]
Cl (0.174, 0.024, 0.426) [8 per cell]
Cl (0.250, 0.111, 0.692) [8 per cell]

Top 10 peaks for 2θ from 10° to 90°, in order of falling intensity:
2θ = 13.78°, 6.425 Å, rel. 100
2θ = 22.52°, 3.948 Å, rel. 93
2θ = 23.06°, 3.857 Å, rel. 77
2θ = 32.34°, 2.769 Å, rel. 64
2θ = 14.18°, 6.245 Å, rel. 30
2θ = 30.82°, 2.901 Å, rel. 28
2θ = 32.58°, 2.749 Å, rel. 27
2θ = 42.38°, 2.133 Å, rel. 22
2θ = 47.12°, 1.929 Å, rel. 21
2θ = 26.46°, 3.369 Å, rel. 21

=====

Please write out number 3 again, unchanged.
This entry pairs a crystal structure of PrYMg2 with its theoretical X-ray powder pattern. Radiation: a wavelength of 1.5418 Å. Structure: a DFT-relaxed cell (GGA-PBE, the Materials Project).
Intensities are scaled so that the largest is 100.

abc: 3.845 3.845 7.749
angles: 90.00 90.00 90.00
Space group P4/mmm (No. 123)
Asymmetric unit:
Pr (0.000, 0.000, 0.000) [1 per cell]
Y (0.000, 0.000, 0.500) [1 per cell]
Mg (0.500, 0.500, 0.256) [2 per cell]

Top 10 peaks for 2θ from 10° to 90°, in order of falling intensity:
2θ = 32.81°, 2.729 Å, rel. 100
2θ = 32.94°, 2.719 Å, rel. 50
2θ = 23.13°, 3.845 Å, rel. 49
2θ = 58.75°, 1.572 Å, rel. 37
2θ = 22.95°, 3.875 Å, rel. 25
2θ = 40.53°, 2.226 Å, rel. 23
2θ = 53.23°, 1.721 Å, rel. 20
2θ = 58.50°, 1.578 Å, rel. 18
2θ = 47.28°, 1.923 Å, rel. 18
2θ = 78.66°, 1.216 Å, rel. 15